Starting from a cell relaxed with GGA-PBE, the XRD peak list of Zn3Cu5 was computed for Cu Ka.
Neutral-atom scattering factors, no anomalous dispersion.

```
Zn3Cu5
1.0
5.0137 0.0000 0.0000
2.3177 6.3328 0.0000
2.2270 -0.0460 6.4199
Zn Cu
6 10
Cartesian
0.6060 1.0769 0.5127 Zn
4.6906 6.0627 3.4357 Zn
4.1662 2.6673 2.1279 Zn
5.3922 3.6195 4.2920 Zn
4.8678 0.2241 2.9842 Zn
8.9524 5.2098 5.9071 Zn
1.6997 2.1081 2.6516 Cu
7.8587 4.1787 3.7682 Cu
3.4977 1.8195 4.5606 Cu
3.5460 5.0120 1.3400 Cu
2.4174 2.8934 0.2538 Cu
6.4684 5.7670 5.3813 Cu
3.0900 0.5198 1.0385 Cu
7.1410 3.3934 6.1661 Cu
6.0123 1.2747 5.0798 Cu
6.0606 4.4672 1.8592 Cu
```

The 6 most intense peaks (10° ≤ 2θ ≤ 80°), most intense first:
(1 3 -1), 45.3 deg, 2.000 Å, I = 100; (2 2 2), 42.2 deg, 2.140 Å, I = 56; (0 1 3), 44.8 deg, 2.023 Å, I = 37; (2 1 -1), 44.9 deg, 2.017 Å, I = 37; (1 -2 0), 39.9 deg, 2.260 Å, I = 36; (2 -1 1), 45.5 deg, 1.993 Å, I = 32